No. 1
Structure and computed powder XRD pattern of PtS4N4 (DFT lattice parameters and positions (PBE); λ = 1.5418 Å (Cu Kα)).
No peak broadening, texture or thermal motion is included.

Atomic structure:
Lattice parameters (Å, degrees): 8.8575 8.2870 11.7249 90.00 102.53 90.00
Element x y z (fractional)
Pt (0.0476, 0.1635, 0.1360)
Pt (0.0476, 0.3365, 0.6360)
Pt (0.9524, 0.6635, 0.3640)
Pt (0.9524, 0.8365, 0.8640)
S (0.1025, 0.7139, 0.0175)
S (0.1025, 0.7861, 0.5175)
S (0.2671, 0.2220, 0.6122)
S (0.2671, 0.2780, 0.1122)
S (0.2984, 0.5971, 0.4237)
S (0.2984, 0.9029, 0.9237)
S (0.3509, 0.0875, 0.3069)
S (0.3509, 0.4125, 0.8069)
S (0.6491, 0.5875, 0.1931)
S (0.6491, 0.9125, 0.6931)
S (0.7016, 0.0971, 0.0763)
S (0.7016, 0.4029, 0.5763)
S (0.7329, 0.7220, 0.8878)
S (0.7329, 0.7780, 0.3878)
S (0.8975, 0.2139, 0.4825)
S (0.8975, 0.2861, 0.9825)
N (0.1438, 0.5578, 0.3374)
N (0.1438, 0.9422, 0.8374)
N (0.1747, 0.0526, 0.2754)
N (0.1747, 0.4474, 0.7754)
N (0.2790, 0.7241, 0.5249)
N (0.2790, 0.7759, 0.0249)
N (0.4057, 0.2127, 0.2176)
N (0.4057, 0.2873, 0.7176)
N (0.5943, 0.7127, 0.2824)
N (0.5943, 0.7873, 0.7824)
N (0.7210, 0.2241, 0.9751)
N (0.7210, 0.2759, 0.4751)
N (0.8253, 0.5526, 0.2246)
N (0.8253, 0.9474, 0.7246)
N (0.8562, 0.0578, 0.1626)
N (0.8562, 0.4422, 0.6626)

Main lines, low angle first (2θ from 5° to 70°):
8.646 Å, 10.2°, I = 100; 6.712 Å, 13.2°, I = 22; 5.663 Å, 15.6°, I = 21; 4.709 Å, 18.8°, I = 67; 4.486 Å, 19.8°, I = 70; 3.896 Å, 22.8°, I = 39; 3.461 Å, 25.7°, I = 28; 2.793 Å, 32.0°, I = 16; 2.682 Å, 33.4°, I = 15; 1.890 Å, 48.1°, I = 14

No. 2
Structure and computed powder XRD pattern of Hg (DFT lattice parameters and positions (PBE); λ = 1.5418 Å (Cu Kα)).
No peak broadening, texture or thermal motion is included.

Atomic structure:
Lattice parameters (Å, degrees): 6.7271 6.3100 3.4937 81.17 67.95 30.88
Element x y z (fractional)
Hg (0.1340, 0.1340, 0.8660)
Hg (0.8660, 0.8660, 0.1340)

Main lines, low angle first (2θ from 5° to 70°):
3.028 Å, 29.5°, I = 100; 3.018 Å, 29.6°, I = 53; 2.970 Å, 30.1°, I = 54; 2.470 Å, 36.4°, I = 87; 2.117 Å, 42.7°, I = 40; 1.726 Å, 53.1°, I = 20; 1.600 Å, 57.6°, I = 24; 1.564 Å, 59.1°, I = 16; 1.510 Å, 61.4°, I = 31; 1.389 Å, 67.4°, I = 21